# 1
Computed X-ray diffraction stick pattern
Compound: Pr2MgNb2O8
Radiation: Cu Kα X-rays
Structure: a structure optimized by DFT (GGA-PBE)

Principal peaks in the range 10° ≤ 2θ ≤ 90°, in order of rising 2θ:
| two_theta | I/Imax |
| --- | --- |
| 24.2 | 100.0 |
| 27.6 | 28.4 |
| 27.7 | 84.0 |
| 28.5 | 82.3 |
| 30.2 | 44.4 |
| 31.8 | 41.4 |
| 33.4 | 35.5 |
| 42.4 | 42.0 |
| 42.8 | 23.3 |
| 44.9 | 30.5 |

Crystal structure
```
data_Pr2MgNb2O8
_chemical_formula_sum 'Pr2 Mg1 Nb2 O8'
_symmetry_space_group_name_H-M 'P 1'
_symmetry_Int_Tables_number 1
_cell_length_a 5.5082
_cell_length_b 5.7186
_cell_length_c 6.6639
_cell_angle_alpha 114.41
_cell_angle_beta 102.02
_cell_angle_gamma 100.39
loop_
_symmetry_equiv_pos_as_xyz
'x,y,z'
loop_
_atom_site_label
_atom_site_type_symbol
_atom_site_fract_x
_atom_site_fract_y
_atom_site_fract_z
Pr1 Pr 0.0000 0.0000 0.0000
Pr2 Pr 0.2734 0.7131 0.5022
Mg1 Mg 0.5692 0.1587 0.1627
Nb1 Nb 0.5018 0.4783 0.9136
Nb2 Nb 0.7992 0.2656 0.6313
O1 O 0.1104 0.1346 0.7045
O2 O 0.2549 0.7118 0.8748
O3 O 0.3567 0.3977 0.1699
O4 O 0.4917 0.0267 0.3901
O5 O 0.6399 0.1364 0.8615
O6 O 0.6515 0.5945 0.6857
O7 O 0.8125 0.7115 0.1470
O8 O 0.9293 0.3169 0.3681
```

=====

# 2
Computed X-ray diffraction stick pattern
Compound: Sr3Au2
Radiation: Cu Kα X-rays
Structure: a structure optimized by DFT (GGA-PBE)

Principal peaks in the range 10° ≤ 2θ ≤ 90°, in order of rising 2θ:
| two_theta | I/Imax |
| --- | --- |
| 11.5 | 45.1 |
| 18.2 | 35.5 |
| 23.2 | 45.7 |
| 28.8 | 41.0 |
| 29.6 | 100.0 |
| 31.7 | 58.3 |
| 34.0 | 67.9 |
| 34.3 | 76.1 |
| 38.7 | 29.6 |
| 39.7 | 26.7 |

Crystal structure
```
data_Sr3Au2
_chemical_formula_sum 'Sr27 Au18'
_symmetry_space_group_name_H-M 'R -3'
_symmetry_Int_Tables_number 148
_symmetry_space_group_name_Hall '-R 3'
_cell_length_a 9.7634
_cell_length_b 9.7634
_cell_length_c 18.5918
_cell_angle_alpha 90.00
_cell_angle_beta 90.00
_cell_angle_gamma 120.00
loop_
_atom_site_label
_atom_site_type_symbol
_atom_site_fract_x
_atom_site_fract_y
_atom_site_fract_z
Sr1 Sr 0.0000 0.0000 0.0000
Sr2 Sr 0.0000 0.0000 0.2020
Sr3 Sr 0.0132 0.7514 0.5932
Au1 Au 0.0247 0.4137 0.5673
```

=====

# 3
Computed X-ray diffraction stick pattern
Compound: K4HgAs2
Radiation: Cu Kα X-rays
Structure: a structure optimized by DFT (GGA-PBE)

Principal peaks in the range 10° ≤ 2θ ≤ 90°, in order of rising 2θ:
| two_theta | I/Imax |
| --- | --- |
| 17.9 | 100.0 |
| 18.7 | 46.5 |
| 23.7 | 28.5 |
| 30.8 | 88.4 |
| 35.8 | 18.4 |
| 36.4 | 43.0 |
| 39.4 | 17.5 |
| 48.4 | 18.7 |
| 54.7 | 21.0 |
| 58.5 | 20.8 |

Crystal structure
```
data_K4HgAs2
_chemical_formula_sum 'K12 Hg3 As6'
_symmetry_space_group_name_H-M 'R -3 m'
_symmetry_Int_Tables_number 166
_symmetry_space_group_name_Hall '-R 3 2"'
_cell_length_a 5.8118
_cell_length_b 5.8118
_cell_length_c 28.2804
_cell_angle_alpha 90.00
_cell_angle_beta 90.00
_cell_angle_gamma 120.00
loop_
_atom_site_label
_atom_site_type_symbol
_atom_site_fract_x
_atom_site_fract_y
_atom_site_fract_z
K1 K 0.0000 0.0000 0.1111
K2 K 0.0000 0.0000 0.2921
Hg1 Hg 0.0000 0.0000 0.5000
As1 As 0.0000 0.0000 0.4106
```

=====

# 4
Computed X-ray diffraction stick pattern
Compound: Hf5CoAs3
Radiation: Cu Kα X-rays
Structure: a structure optimized by DFT (GGA-PBE)

Principal peaks in the range 10° ≤ 2θ ≤ 90°, in order of rising 2θ:
| two_theta | I/Imax |
| --- | --- |
| 30.0 | 57.4 |
| 33.0 | 46.9 |
| 33.5 | 62.5 |
| 35.4 | 49.2 |
| 35.5 | 80.9 |
| 35.9 | 100.0 |
| 36.3 | 66.0 |
| 37.1 | 52.4 |
| 39.6 | 40.1 |
| 49.5 | 59.5 |

Crystal structure
```
data_Hf5CoAs3
_chemical_formula_sum 'Hf20 Co4 As12'
_symmetry_space_group_name_H-M 'P n m a'
_symmetry_Int_Tables_number 62
_cell_length_a 17.4179
_cell_length_b 3.6805
_cell_length_c 10.4552
_cell_angle_alpha 90.00
_cell_angle_beta 90.00
_cell_angle_gamma 90.00
loop_
_symmetry_equiv_pos_as_xyz
'x,y,z'
'-x,-y,-z'
'-x+1/2,-y,z+1/2'
'x+1/2,y,-z+1/2'
'x+1/2,-y+1/2,-z+1/2'
'-x+1/2,y+1/2,z+1/2'
'-x,y+1/2,-z'
'x,-y+1/2,z'
loop_
_atom_site_label
_atom_site_type_symbol
_atom_site_fract_x
_atom_site_fract_y
_atom_site_fract_z
Hf1 Hf 0.0219 0.2500 0.1204
Hf2 Hf 0.0773 0.7500 0.5568
Hf3 Hf 0.1320 0.2500 0.8153
Hf4 Hf 0.1669 0.7500 0.2581
Hf5 Hf 0.2238 0.2500 0.4840
Co1 Co 0.0916 0.2500 0.3687
As1 As 0.0073 0.7500 0.3113
As2 As 0.1188 0.7500 0.0088
As3 As 0.2193 0.7500 0.6853
```

=====

# 5
Computed X-ray diffraction stick pattern
Compound: KRb2LaCl6
Radiation: Cu Kα X-rays
Structure: a structure optimized by DFT (GGA-PBE)

Principal peaks in the range 10° ≤ 2θ ≤ 90°, in order of rising 2θ:
| two_theta | I/Imax |
| --- | --- |
| 13.3 | 31.4 |
| 21.8 | 100.0 |
| 26.7 | 24.7 |
| 31.0 | 85.9 |
| 38.2 | 46.8 |
| 44.4 | 58.7 |
| 49.9 | 22.7 |
| 55.1 | 19.6 |
| 59.9 | 25.9 |
| 73.3 | 24.1 |

Crystal structure
```
data_KRb2LaCl6
_chemical_formula_sum 'K4 Rb8 La4 Cl24'
_symmetry_space_group_name_H-M 'F m -3 m'
_symmetry_Int_Tables_number 225
_symmetry_space_group_name_Hall '-F 4 2 3'
_cell_length_a 11.5491
_cell_length_b 11.5491
_cell_length_c 11.5491
_cell_angle_alpha 90.00
_cell_angle_beta 90.00
_cell_angle_gamma 90.00
loop_
_atom_site_label
_atom_site_type_symbol
_atom_site_fract_x
_atom_site_fract_y
_atom_site_fract_z
K1 K 0.0000 0.0000 0.0000
Rb1 Rb 0.2500 0.2500 0.2500
La1 La 0.0000 0.0000 0.5000
Cl1 Cl 0.0000 0.0000 0.2603
```

=====

# 6
Computed X-ray diffraction stick pattern
Compound: SrRe7N10
Radiation: Cu Kα X-rays
Structure: a structure optimized by DFT (GGA-PBE)

Principal peaks in the range 10° ≤ 2θ ≤ 90°, in order of rising 2θ:
| two_theta | I/Imax |
| --- | --- |
| 12.7 | 71.0 |
| 18.1 | 55.0 |
| 18.3 | 46.5 |
| 27.7 | 48.8 |
| 28.6 | 78.1 |
| 29.1 | 60.9 |
| 29.2 | 49.9 |
| 35.2 | 81.6 |
| 35.9 | 54.0 |
| 37.4 | 100.0 |

Crystal structure
```
data_SrRe7N10
_chemical_formula_sum 'Sr2 Re14 N20'
_symmetry_space_group_name_H-M 'P 1 c 1'
_symmetry_Int_Tables_number 7
_cell_length_a 7.2901
_cell_length_b 6.8853
_cell_length_c 11.0235
_cell_angle_alpha 90.00
_cell_angle_beta 107.56
_cell_angle_gamma 90.00
loop_
_symmetry_equiv_pos_as_xyz
'x,y,z'
'x,-y,z+1/2'
loop_
_atom_site_label
_atom_site_type_symbol
_atom_site_fract_x
_atom_site_fract_y
_atom_site_fract_z
Sr1 Sr 0.0000 0.0096 0.0000
Re1 Re 0.1651 0.4151 0.3950
Re2 Re 0.4462 0.0301 0.3259
Re3 Re 0.4747 0.3409 0.7261
Re4 Re 0.5800 0.3572 0.0557
Re5 Re 0.6267 0.0216 0.6588
Re6 Re 0.7899 0.4102 0.3273
Re7 Re 0.9687 0.3958 0.6787
N1 N 0.2366 0.3976 0.7748
N2 N 0.2427 0.1781 0.3585
N3 N 0.3436 0.0784 0.6528
N4 N 0.3710 0.4765 0.5594
N5 N 0.5372 0.0955 0.9876
N6 N 0.6217 0.4382 0.8969
N7 N 0.6913 0.1396 0.3144
N8 N 0.8502 0.3469 0.1536
N9 N 0.8642 0.1438 0.6790
N10 N 0.9844 0.3877 0.5031
```